Starting from a structure optimized by DFT (GGA-PBE), the powder X-ray diffraction pattern of Be2Cu2AsO6 was calculated for CuKα.
Intensities are scaled so that the largest is 100.

```
Be2Cu2AsO6
1.0
4.947 0.000 0.000
-2.473 4.284 0.000
0.000 0.000 5.619
Be Cu As O
2 2 1 6
direct
0.333 0.667 0.317
0.667 0.333 0.683
0.333 0.667 0.770
0.667 0.333 0.230
0.000 0.000 0.500
0.050 0.721 0.303
0.279 0.330 0.303
0.330 0.050 0.697
0.670 0.950 0.303
0.721 0.670 0.697
0.950 0.279 0.697
```

Peak list (6 most intense, 5 to 70 degrees two-theta, sorted by position)
15.8°, I 37
26.2°, I 100
36.3°, I 43
38.3°, I 48
45.3°, I 34
59.4°, I 22


Starting from a structure optimized by DFT (GGA-PBE), the powder X-ray diffraction pattern of BeCuAsO4 was calculated for CuKα.
Intensities are scaled so that the largest is 100.

```
BeCuAsO4
1.0
-2.322 2.322 3.760
2.322 -2.322 3.760
2.322 2.322 -3.760
Be Cu As O
1 1 1 4
direct
0.000 0.000 0.000
0.750 0.250 0.500
0.250 0.750 0.500
0.114 0.707 0.068
0.293 0.361 0.407
0.639 0.046 0.932
0.954 0.886 0.593
```

Peak list (6 most intense, 5 to 70 degrees two-theta, sorted by position)
23.7°, I 55
27.2°, I 77
36.3°, I 100
45.9°, I 38
63.7°, I 25
68.6°, I 26